1.
Dy6YCo2Te2: theoretical XRD peak list (copper Kα), based on a cell relaxed with PBE.
Lines closer than 0.1° are merged.

Crystal structure
```
Dy6YCo2Te2
1.0
-1.9168 7.8589 4.7403
1.9168 -7.8589 4.7403
1.9168 7.8589 -4.7403
Dy Y Co Te
6 1 2 2
direct
0.1335 0.0000 0.1335
0.2035 0.8521 0.3514
0.5007 0.8521 0.6486
0.5177 0.2034 0.3143
0.8665 0.0000 0.8665
0.8891 0.2034 0.6857
0.5823 0.5823 0.0000
0.2730 0.5108 0.7622
0.7486 0.5108 0.2378
0.2464 0.2464 0.0000
0.8467 0.3467 0.5000
```

The 10 most intense peaks (2θ from 10° to 90°), by angle:
Position (°2θ), I/Imax
25.1, 25
28.8, 33
30.5, 43
33.1, 82
34.0, 100
34.2, 24
34.6, 61
38.7, 21
47.4, 29
59.1, 31

=====

2.
KGeAu3S4: theoretical XRD peak list (copper Kα), based on a cell relaxed with PBE.
Lines closer than 0.1° are merged.

Crystal structure
```
KGeAu3S4
1.0
6.1110 0.0000 0.0000
0.0000 7.3628 0.0000
-1.8753 0.0000 10.3619
K Ge Au S
2 2 6 8
direct
0.1671 0.2500 0.3525
0.8329 0.7500 0.6475
0.0946 0.2500 0.7756
0.9054 0.7500 0.2244
0.3629 0.5527 0.0925
0.3629 0.9473 0.0925
0.4739 0.7500 0.3442
0.5261 0.2500 0.6558
0.6371 0.0527 0.9075
0.6371 0.4473 0.9075
0.0441 0.7500 0.0331
0.1334 0.7500 0.4155
0.2980 0.5058 0.7638
0.2980 0.9942 0.7638
0.7020 0.0058 0.2362
0.7020 0.4942 0.2362
0.8666 0.2500 0.5845
0.9559 0.2500 0.9669
```

The 10 most intense peaks (2θ from 10° to 90°), by angle:
Position (°2θ), I/Imax
14.7, 100
19.8, 16
25.7, 29
27.4, 18
30.5, 14
32.1, 25
34.8, 15
35.2, 18
36.8, 16
43.8, 17

=====

3.
Cs2Pr4Cu4S9: theoretical XRD peak list (copper Kα), based on a cell relaxed with PBE.
Lines closer than 0.1° are merged.

Crystal structure
```
Cs2Pr4Cu4S9
1.0
7.1900 -2.0441 0.0000
7.1900 2.0441 0.0000
-5.1871 0.0000 15.9507
Cs Pr Cu S
2 4 4 9
direct
0.0269 0.0269 0.2666
0.9731 0.9731 0.7334
0.2279 0.2279 0.1013
0.3463 0.3463 0.4468
0.6537 0.6537 0.5532
0.7721 0.7721 0.8987
0.2370 0.2370 0.7152
0.4281 0.4281 0.0363
0.5719 0.5719 0.9637
0.7630 0.7630 0.2848
0.0000 0.0000 0.5000
0.1384 0.1384 0.9259
0.2969 0.2969 0.6003
0.3349 0.3349 0.2755
0.4015 0.4015 0.8846
0.5985 0.5985 0.1154
0.6651 0.6651 0.7245
0.7031 0.7031 0.3997
0.8616 0.8616 0.0741
```

The 10 most intense peaks (2θ from 10° to 90°), by angle:
Position (°2θ), I/Imax
22.1, 68
24.9, 99
26.2, 100
27.1, 46
29.2, 73
30.7, 43
31.0, 80
33.7, 58
44.3, 68
44.5, 60

=====

4.
Tb2HoSn4Au4: theoretical XRD peak list (copper Kα), based on a cell relaxed with PBE.
Lines closer than 0.1° are merged.

Crystal structure
```
Tb2HoSn4Au4
1.0
-2.3001 3.6189 7.7219
2.3001 -3.6189 7.7219
2.3001 3.6189 -7.7219
Tb Ho Sn Au
2 1 4 4
direct
0.1289 0.1289 0.0000
0.8711 0.8711 0.0000
0.5000 0.0000 0.5000
0.1988 0.5000 0.6988
0.2887 0.7887 0.5000
0.7113 0.2113 0.5000
0.8012 0.5000 0.3012
0.1244 0.3298 0.7946
0.4648 0.6702 0.7946
0.5352 0.3298 0.2054
0.8756 0.6702 0.2054
```

The 10 most intense peaks (2θ from 10° to 90°), by angle:
Position (°2θ), I/Imax
31.5, 23
32.0, 100
32.7, 63
34.9, 32
36.1, 41
39.2, 49
41.3, 29
43.2, 30
53.4, 19
58.2, 21

=====

5.
KTe4MoAu3: theoretical XRD peak list (copper Kα), based on a cell relaxed with PBE.
Lines closer than 0.1° are merged.

Crystal structure
```
KTe4MoAu3
1.0
6.7792 0.0000 0.0000
0.0000 6.7792 0.0000
0.0000 0.0000 6.7792
K Te Mo Au
1 4 1 3
direct
0.0000 0.0000 0.0000
0.2783 0.2783 0.2783
0.2783 0.7217 0.7217
0.7217 0.2783 0.7217
0.7217 0.7217 0.2783
0.5000 0.5000 0.5000
0.0000 0.5000 0.5000
0.5000 0.0000 0.5000
0.5000 0.5000 0.0000
```

The 10 most intense peaks (2θ from 10° to 90°), by angle:
Position (°2θ), I/Imax
13.1, 54
22.7, 90
37.5, 100
39.9, 14
44.3, 43
48.4, 17
54.1, 16
59.4, 15
67.7, 29
84.6, 12

=====

6.
ZrInNO: theoretical XRD peak list (copper Kα), based on a cell relaxed with PBE.
Lines closer than 0.1° are merged.

Crystal structure
```
ZrInNO
1.0
5.4688 0.0000 0.0000
0.0000 7.9497 0.0000
0.0000 0.0000 5.3884
Zr In N O
4 4 4 4
direct
0.0265 0.1349 0.0000
0.4735 0.1349 0.5000
0.5265 0.8651 0.0000
0.9735 0.8651 0.5000
0.0011 0.6368 0.9927
0.4989 0.6368 0.4927
0.5011 0.3632 0.9927
0.9989 0.3632 0.4927
0.0899 0.6266 0.5664
0.4101 0.6266 0.0664
0.5899 0.3734 0.5664
0.9101 0.3734 0.0664
0.2431 0.9751 0.2501
0.2569 0.9751 0.7501
0.7431 0.0249 0.2501
0.7569 0.0249 0.7501
```

The 10 most intense peaks (2θ from 10° to 90°), by angle:
Position (°2θ), I/Imax
32.4, 100
32.8, 24
33.3, 25
45.6, 10
47.4, 22
57.3, 11
57.6, 12
58.3, 18
58.9, 19
67.9, 10

=====

7.
Pr2InSiI2: theoretical XRD peak list (copper Kα), based on a cell relaxed with PBE.
Lines closer than 0.1° are merged.

Crystal structure
```
Pr2InSiI2
1.0
4.4040 0.0000 0.0000
-2.2020 3.8140 0.0000
0.0000 0.0000 12.5557
Pr In Si I
2 1 1 2
direct
0.0000 0.0000 0.0000
0.0000 0.0000 0.3454
0.6667 0.3333 0.1547
0.3333 0.6667 0.1976
0.3333 0.6667 0.8370
0.6667 0.3333 0.5084
```

The 10 most intense peaks (2θ from 10° to 90°), by angle:
Position (°2θ), I/Imax
24.4, 43
27.4, 53
31.7, 100
41.0, 49
43.1, 20
43.2, 12
50.0, 10
52.8, 24
61.1, 33
68.9, 21

=====

8.
Bi10PdS10: theoretical XRD peak list (copper Kα), based on a cell relaxed with PBE.
Lines closer than 0.1° are merged.

Crystal structure
```
Bi10PdS10
1.0
10.7462 0.0000 0.0000
0.0000 12.6649 0.0000
0.0000 0.0000 8.6504
Bi Pd S
20 2 20
direct
0.0000 0.0000 0.2367
0.0000 0.0000 0.7633
0.1387 0.3144 0.0000
0.1414 0.5903 0.2317
0.1414 0.5903 0.7683
0.2493 0.3164 0.5000
0.2507 0.8164 0.5000
0.3586 0.0903 0.2317
0.3586 0.0903 0.7683
0.3613 0.8144 0.0000
0.5000 0.5000 0.2367
0.5000 0.5000 0.7633
0.6387 0.1856 0.0000
0.6414 0.9097 0.2317
0.6414 0.9097 0.7683
0.7493 0.1836 0.5000
0.7507 0.6836 0.5000
0.8586 0.4097 0.2317
0.8586 0.4097 0.7683
0.8613 0.6856 0.0000
0.0000 0.5000 0.0000
0.5000 0.0000 0.0000
0.0008 0.6516 0.5000
0.1503 0.0786 0.0000
0.1606 0.8077 0.1943
0.1606 0.8077 0.8057
0.1683 0.0126 0.5000
0.3317 0.5126 0.5000
0.3394 0.3077 0.1943
0.3394 0.3077 0.8057
0.3497 0.5786 0.0000
0.4992 0.1516 0.5000
0.5008 0.8484 0.5000
0.6503 0.4214 0.0000
0.6606 0.6923 0.1943
0.6606 0.6923 0.8057
0.6683 0.4874 0.5000
0.8317 0.9874 0.5000
0.8394 0.1923 0.1943
0.8394 0.1923 0.8057
0.8497 0.9214 0.0000
0.9992 0.3484 0.5000
```

The 10 most intense peaks (2θ from 10° to 90°), by angle:
Position (°2θ), I/Imax
21.7, 46
24.9, 63
25.8, 39
26.3, 100
27.4, 80
29.4, 77
33.2, 70
39.0, 34
41.8, 40
42.2, 51

=====

9.
Ho2SiGeOs: theoretical XRD peak list (copper Kα), based on a cell relaxed with PBE.
Lines closer than 0.1° are merged.

Crystal structure
```
Ho2SiGeOs
1.0
5.3680 -2.1410 0.0000
5.3680 2.1410 0.0000
-4.7679 0.0000 8.7596
Ho Si Ge Os
4 2 2 2
direct
0.0059 0.0059 0.1801
0.1829 0.1829 0.6093
0.8171 0.8171 0.3907
0.9941 0.9941 0.8199
0.4968 0.4968 0.6239
0.5032 0.5032 0.3761
0.3576 0.3576 0.9372
0.6424 0.6424 0.0628
0.2739 0.2739 0.1349
0.7261 0.7261 0.8651
```

The 10 most intense peaks (2θ from 10° to 90°), by angle:
Position (°2θ), I/Imax
10.1, 63
27.5, 29
32.8, 34
33.3, 61
33.7, 100
34.5, 28
36.9, 66
40.7, 80
42.2, 61
64.6, 28

=====

10.
PrNdTe4Se2: theoretical XRD peak list (copper Kα), based on a cell relaxed with PBE.
Lines closer than 0.1° are merged.

Crystal structure
```
PrNdTe4Se2
1.0
4.2976 0.0000 0.0000
0.0000 2.1487 13.0126
0.0000 -2.1487 13.0126
Pr Nd Te Se
1 1 4 2
direct
0.0000 0.0000 0.0000
0.5000 0.3570 0.3570
0.0000 0.2543 0.2543
0.0000 0.6027 0.6027
0.5000 0.1027 0.1027
0.5000 0.7544 0.7544
0.0000 0.8835 0.8835
0.5000 0.4733 0.4733
```

The 10 most intense peaks (2θ from 10° to 90°), by angle:
Position (°2θ), I/Imax
27.4, 45
31.2, 100
34.2, 44
38.3, 26
42.0, 45
48.8, 18
50.9, 32
61.0, 17
68.1, 13
70.1, 19

=====

11.
Cu12Te: theoretical XRD peak list (copper Kα), based on a cell relaxed with PBE.
Lines closer than 0.1° are merged.

Crystal structure
```
Cu12Te
1.0
4.3892 0.0000 0.0000
-0.0033 6.6920 0.0000
-0.1730 -0.1391 24.0796
Cu Te
24 2
direct
0.0738 0.0304 0.1411
0.0766 0.6081 0.8398
0.0840 0.7488 0.9418
0.0850 0.8924 0.0413
0.2469 0.3942 0.9261
0.2467 0.6808 0.1262
0.2524 0.5371 0.0255
0.2593 0.2467 0.8261
0.4138 0.3216 0.1076
0.4157 0.1778 0.0088
0.4194 0.0376 0.9088
0.4234 0.8950 0.8125
0.5766 0.1050 0.1875
0.5806 0.9624 0.0912
0.5843 0.8222 0.9912
0.5862 0.6784 0.8924
0.7407 0.7533 0.1739
0.7476 0.4629 0.9745
0.7533 0.3192 0.8738
0.7531 0.6058 0.0739
0.9150 0.1076 0.9587
0.9160 0.2512 0.0582
0.9234 0.3919 0.1602
0.9262 0.9696 0.8589
0.4197 0.4625 0.2217
0.5803 0.5375 0.7783
```

The 10 most intense peaks (2θ from 10° to 90°), by angle:
Position (°2θ), I/Imax
11.0, 62
39.6, 38
40.7, 32
43.0, 100
43.2, 52
43.5, 48
44.0, 38
44.7, 29
48.2, 35
51.1, 31